# 1
# Tb2CrGe4
Theoretical PXRD pattern, CuKα. Input: DFT lattice parameters and positions (GGA-PBE).
Neutral-atom scattering factors, no anomalous dispersion.

Crystal structure
```
data_Tb2CrGe4
_chemical_formula_sum 'Tb4 Cr2 Ge8'
_symmetry_space_group_name_H-M 'A m m 2'
_symmetry_Int_Tables_number 38
_symmetry_space_group_name_Hall 'A 2 -2'
_cell_length_a 4.3165
_cell_length_b 4.3407
_cell_length_c 15.3949
_cell_angle_alpha 90.00
_cell_angle_beta 90.00
_cell_angle_gamma 90.00
loop_
_atom_site_label
_atom_site_fract_x
_atom_site_fract_y
_atom_site_fract_z
_atom_site_occupancy
Tb1 0.0000 0.0000 0.0000 1
Tb2 0.5000 0.0000 0.2013 1
Cr1 0.5000 0.0000 0.3953 1
Ge1 0.0000 0.0000 0.3511 1
Ge2 0.0000 0.0000 0.6619 1
Ge3 0.5000 0.0000 0.5506 1
Ge4 0.5000 0.0000 0.8436 1
```

Most intense lines, 2θ from 15° to 90°, most intense first:
2θ = 34.11°, I 100.0, hkl 1 1 3
2θ = 41.61°, I 23.6, hkl 0 2 0
2θ = 41.86°, I 21.5, hkl 2 0 0
2θ = 35.75°, I 19.2, hkl 0 1 5
2θ = 34.97°, I 17.4, hkl 0 0 6
2θ = 23.63°, I 14.7, hkl 1 0 2
2θ = 60.50°, I 14.2, hkl 2 2 0
2θ = 40.92°, I 12.7, hkl 1 0 6
2θ = 71.14°, I 11.8, hkl 1 3 3
2θ = 71.48°, I 11.6, hkl 3 1 3

# 2
# In4Hg2TeSe
Theoretical PXRD pattern, CuKα. Input: DFT lattice parameters and positions (GGA-PBE).
Neutral-atom scattering factors, no anomalous dispersion.

Crystal structure
```
data_In4Hg2TeSe
_chemical_formula_sum 'In4 Hg2 Te1 Se1'
_symmetry_space_group_name_H-M 'P 1 2/m 1'
_symmetry_Int_Tables_number 10
_symmetry_space_group_name_Hall '-P 2y'
_cell_length_a 7.3244
_cell_length_b 4.2320
_cell_length_c 7.8696
_cell_angle_alpha 90.00
_cell_angle_beta 107.64
_cell_angle_gamma 90.00
loop_
_atom_site_label
_atom_site_fract_x
_atom_site_fract_y
_atom_site_fract_z
_atom_site_occupancy
In1 0.2325 0.0000 0.2393 1
In2 0.2360 0.5000 0.7530 1
Hg1 0.0000 0.0000 0.5000 1
Hg2 0.5000 0.5000 0.5000 1
Te1 0.5000 0.0000 0.0000 1
Se1 0.0000 0.5000 0.0000 1
```

Most intense lines, 2θ from 15° to 90°, most intense first:
2θ = 29.03°, I 100.0, hkl 1 1 1
2θ = 42.75°, I 51.8, hkl 0 2 0
2θ = 29.20°, I 49.1, hkl 2 0 -2
2θ = 40.51°, I 40.9, hkl 1 1 -3
2θ = 40.29°, I 20.2, hkl 2 0 2
2θ = 52.59°, I 19.0, hkl 2 2 -2
2θ = 69.89°, I 15.6, hkl 1 3 1
2θ = 60.17°, I 12.3, hkl 2 2 2
2θ = 48.56°, I 11.9, hkl 0 0 4
2θ = 66.65°, I 9.1, hkl 0 2 4

# 3
# RbNp2S4
Theoretical PXRD pattern, CuKα. Input: DFT lattice parameters and positions (GGA-PBE).
Neutral-atom scattering factors, no anomalous dispersion.

Crystal structure
```
data_RbNp2S4
_chemical_formula_sum 'Rb1 Np2 S4'
_symmetry_space_group_name_H-M 'P 1 2/m 1'
_symmetry_Int_Tables_number 10
_symmetry_space_group_name_Hall '-P 2y'
_cell_length_a 6.9203
_cell_length_b 4.0531
_cell_length_c 8.2667
_cell_angle_alpha 90.00
_cell_angle_beta 106.50
_cell_angle_gamma 90.00
loop_
_atom_site_label
_atom_site_fract_x
_atom_site_fract_y
_atom_site_fract_z
_atom_site_occupancy
Rb1 0.0000 0.0000 0.0000 1
Np1 0.0000 0.5000 0.5000 1
Np2 0.5000 0.0000 0.5000 1
S1 0.2244 0.0000 0.6774 1
S2 0.2719 0.5000 0.3183 1
```

Most intense lines, 2θ from 15° to 90°, most intense first:
2θ = 29.67°, I 100.0, hkl 1 1 1
2θ = 26.55°, I 51.9, hkl 1 1 -1
2θ = 29.81°, I 49.5, hkl 2 0 -2
2θ = 22.43°, I 47.5, hkl 0 0 2
2θ = 36.95°, I 45.8, hkl 1 1 2
2θ = 46.22°, I 43.1, hkl 1 1 3
2θ = 25.76°, I 40.2, hkl 1 1 0
2θ = 39.75°, I 37.6, hkl 1 1 -3
2θ = 45.23°, I 33.3, hkl 3 1 -1
2θ = 26.87°, I 25.3, hkl 2 0 0

# 4
# Ca2AcAgO4
Theoretical PXRD pattern, CuKα. Input: DFT lattice parameters and positions (GGA-PBE).
Neutral-atom scattering factors, no anomalous dispersion.

Crystal structure
```
data_Ca2AcAgO4
_chemical_formula_sum 'Ca8 Ac4 Ag4 O16'
_symmetry_space_group_name_H-M 'C m c m'
_symmetry_Int_Tables_number 63
_symmetry_space_group_name_Hall '-C 2c 2'
_cell_length_a 3.5337
_cell_length_b 11.9505
_cell_length_c 12.0481
_cell_angle_alpha 90.00
_cell_angle_beta 90.00
_cell_angle_gamma 90.00
loop_
_atom_site_label
_atom_site_fract_x
_atom_site_fract_y
_atom_site_fract_z
_atom_site_occupancy
Ca1 0.0000 0.1256 0.0443 1
Ac1 0.0000 0.3742 0.2500 1
Ag1 0.0000 0.3610 0.7500 1
O1 0.0000 0.0182 0.2500 1
O2 0.0000 0.2248 0.6169 1
O3 0.0000 0.5000 0.0000 1
```

Most intense lines, 2θ from 15° to 90°, most intense first:
2θ = 37.14°, I 100.0, hkl 1 3 2
2θ = 30.26°, I 89.1, hkl 1 1 2
2θ = 29.66°, I 54.2, hkl 0 0 4
2θ = 29.91°, I 47.2, hkl 0 4 0
2θ = 33.48°, I 38.2, hkl 0 4 2
2θ = 42.62°, I 37.6, hkl 0 4 4
2θ = 40.05°, I 30.0, hkl 1 1 4
2θ = 45.66°, I 28.4, hkl 1 3 4
2θ = 48.40°, I 28.3, hkl 1 5 2
2θ = 26.30°, I 27.3, hkl 1 1 0

# 5
# SnPt3Rh2
Theoretical PXRD pattern, CuKα. Input: DFT lattice parameters and positions (GGA-PBE).
Neutral-atom scattering factors, no anomalous dispersion.

Crystal structure
```
data_SnPt3Rh2
_chemical_formula_sum 'Sn8 Pt24 Rh16'
_symmetry_space_group_name_H-M 'F d d d'
_symmetry_Int_Tables_number 70
_cell_length_a 5.6548
_cell_length_b 7.9078
_cell_length_c 17.0154
_cell_angle_alpha 90.00
_cell_angle_beta 90.00
_cell_angle_gamma 90.00
loop_
_symmetry_equiv_pos_as_xyz
'x,y,z'
'-x,-y,-z'
'-x+1/4,-y+1/4,z'
'x+1/4,y+1/4,-z'
'x,-y+1/4,-z+1/4'
'-x,y+1/4,z+1/4'
'-x+1/4,y,-z+1/4'
'x+1/4,-y,z+1/4'
'x,y+1/2,z+1/2'
'-x,-y+1/2,-z+1/2'
'-x+1/4,-y+3/4,z+1/2'
'x+1/4,y+3/4,-z+1/2'
'x,-y+3/4,-z+3/4'
'-x,y+3/4,z+3/4'
'-x+1/4,y+1/2,-z+3/4'
'x+1/4,-y+1/2,z+3/4'
'x+1/2,y,z+1/2'
'-x+1/2,-y,-z+1/2'
'-x+3/4,-y+1/4,z+1/2'
'x+3/4,y+1/4,-z+1/2'
'x+1/2,-y+1/4,-z+3/4'
'-x+1/2,y+1/4,z+3/4'
'-x+3/4,y,-z+3/4'
'x+3/4,-y,z+3/4'
'x+1/2,y+1/2,z'
'-x+1/2,-y+1/2,-z'
'-x+3/4,-y+3/4,z'
'x+3/4,y+3/4,-z'
'x+1/2,-y+3/4,-z+1/4'
'-x+1/2,y+3/4,z+1/4'
'-x+3/4,y+1/2,-z+1/4'
'x+3/4,-y+1/2,z+1/4'
loop_
_atom_site_label
_atom_site_fract_x
_atom_site_fract_y
_atom_site_fract_z
_atom_site_occupancy
Sn1 0.1250 0.1250 0.1250 1
Pt1 0.1250 0.1250 0.4609 1
Pt2 0.1250 0.1250 0.6250 1
Rh1 0.1250 0.1250 0.2941 1
```

Most intense lines, 2θ from 15° to 90°, most intense first:
2θ = 39.13°, I 100.0, hkl 2 2 0
2θ = 45.29°, I 33.0, hkl 2 0 6
2θ = 66.46°, I 21.3, hkl 2 4 6
2θ = 45.90°, I 16.0, hkl 0 4 0
2θ = 79.55°, I 12.9, hkl 4 2 6
2θ = 79.39°, I 12.8, hkl 2 2 12
2θ = 80.36°, I 12.7, hkl 2 6 0
2θ = 20.00°, I 8.6, hkl 1 1 1
2θ = 84.20°, I 5.7, hkl 4 4 0
2θ = 83.99°, I 5.6, hkl 0 4 12

# 6
# Rb4P2Pd
Theoretical PXRD pattern, CuKα. Input: DFT lattice parameters and positions (GGA-PBE).
Neutral-atom scattering factors, no anomalous dispersion.

Crystal structure
```
data_Rb4P2Pd
_chemical_formula_sum 'Rb12 P6 Pd3'
_symmetry_space_group_name_H-M 'R -3 m'
_symmetry_Int_Tables_number 166
_symmetry_space_group_name_Hall '-R 3 2"'
_cell_length_a 5.8673
_cell_length_b 5.8673
_cell_length_c 27.4539
_cell_angle_alpha 90.00
_cell_angle_beta 90.00
_cell_angle_gamma 120.00
loop_
_atom_site_label
_atom_site_fract_x
_atom_site_fract_y
_atom_site_fract_z
_atom_site_occupancy
Rb1 0.0000 0.0000 0.1249 1
Rb2 0.0000 0.0000 0.2899 1
P1 0.0000 0.0000 0.4169 1
Pd1 0.0000 0.0000 0.5000 1
```

Most intense lines, 2θ from 15° to 90°, most intense first:
2θ = 30.47°, I 100.0, hkl 1 1 0
2θ = 23.86°, I 81.0, hkl 0 1 5
2θ = 28.75°, I 24.8, hkl 1 0 7
2θ = 39.07°, I 22.2, hkl 2 0 5
2θ = 50.33°, I 21.1, hkl 1 2 5
2θ = 54.15°, I 18.8, hkl 3 0 0
2θ = 37.23°, I 16.7, hkl 1 0 10
2θ = 63.41°, I 11.6, hkl 2 2 0
2θ = 17.75°, I 10.8, hkl 1 0 1
2θ = 31.46°, I 10.7, hkl 0 1 8

# 7
# RbGe3As3
Theoretical PXRD pattern, CuKα. Input: DFT lattice parameters and positions (GGA-PBE).
Neutral-atom scattering factors, no anomalous dispersion.

Crystal structure
```
data_RbGe3As3
_chemical_formula_sum 'Rb4 Ge12 As12'
_symmetry_space_group_name_H-M 'P n m a'
_symmetry_Int_Tables_number 62
_symmetry_space_group_name_Hall '-P 2ac 2n'
_cell_length_a 10.1875
_cell_length_b 3.8864
_cell_length_c 20.0581
_cell_angle_alpha 90.00
_cell_angle_beta 90.00
_cell_angle_gamma 90.00
loop_
_atom_site_label
_atom_site_fract_x
_atom_site_fract_y
_atom_site_fract_z
_atom_site_occupancy
Rb1 0.2476 0.2500 0.0474 1
Ge1 0.0115 0.2500 0.8619 1
Ge2 0.1172 0.2500 0.7444 1
Ge3 0.1599 0.2500 0.3383 1
As1 0.0128 0.7500 0.3621 1
As2 0.1450 0.7500 0.9102 1
As3 0.2313 0.2500 0.2213 1
```

Most intense lines, 2θ from 15° to 90°, most intense first:
2θ = 29.25°, I 100.0, hkl 2 1 1
2θ = 48.38°, I 47.0, hkl 4 1 5
2θ = 24.92°, I 42.4, hkl 2 0 4
2θ = 28.09°, I 33.1, hkl 1 0 6
2θ = 46.74°, I 31.6, hkl 0 2 0
2θ = 30.27°, I 31.2, hkl 2 1 2
2θ = 44.64°, I 21.4, hkl 4 1 3
2θ = 32.05°, I 20.6, hkl 0 1 5
2θ = 50.80°, I 20.2, hkl 5 1 1
2θ = 28.32°, I 17.9, hkl 2 0 5

# 8
# TaTl2TcO6
Theoretical PXRD pattern, CuKα. Input: DFT lattice parameters and positions (GGA-PBE).
Neutral-atom scattering factors, no anomalous dispersion.

Crystal structure
```
data_TaTl2TcO6
_chemical_formula_sum 'Ta4 Tl8 Tc4 O24'
_symmetry_space_group_name_H-M 'F m -3 m'
_symmetry_Int_Tables_number 225
_symmetry_space_group_name_Hall '-F 4 2 3'
_cell_length_a 8.0695
_cell_length_b 8.0695
_cell_length_c 8.0695
_cell_angle_alpha 90.00
_cell_angle_beta 90.00
_cell_angle_gamma 90.00
loop_
_atom_site_label
_atom_site_fract_x
_atom_site_fract_y
_atom_site_fract_z
_atom_site_occupancy
Ta1 0.0000 0.0000 0.0000 1
Tl1 0.2500 0.2500 0.2500 1
Tc1 0.0000 0.0000 0.5000 1
O1 0.0000 0.0000 0.2527 1
```

Most intense lines, 2θ from 15° to 90°, most intense first:
2θ = 31.35°, I 100.0, hkl 2 2 0
2θ = 55.81°, I 40.7, hkl 4 2 2
2θ = 44.93°, I 26.8, hkl 4 0 0
2θ = 74.34°, I 17.7, hkl 6 2 0
2θ = 65.43°, I 16.9, hkl 4 4 0
2θ = 82.89°, I 5.8, hkl 4 4 4
2θ = 38.65°, I 4.4, hkl 2 2 2
2θ = 19.05°, I 2.9, hkl 1 1 1
2θ = 36.95°, I 1.9, hkl 3 1 1
2θ = 22.03°, I 1.8, hkl 2 0 0